Diffraction record for Na2GaTe4Ir. The X-ray diffraction stick pattern is theoretical, not measured: it uses a cell relaxed with GGA-PBE and a wavelength of 1.5418 Å.
Peak positions follow from Bragg's law for the DFT cell and can differ from measured ones.

Cell and atoms:
```
data_Na2GaTe4Ir
_space_group_name_H-M_alt 'I -4'
_space_group_IT_number 82
_cell_length_a 7.5637
_cell_length_b 7.5637
_cell_length_c 8.6746
_cell_angle_alpha 90.00
_cell_angle_beta 90.00
_cell_angle_gamma 90.00
loop_
_space_group_symop_operation_xyz
'x,y,z'
'y,-x,-z'
'-x,-y,z'
'-y,x,-z'
'x+1/2,y+1/2,z+1/2'
'y+1/2,-x+1/2,-z+1/2'
'-x+1/2,-y+1/2,z+1/2'
'-y+1/2,x+1/2,-z+1/2'
loop_
_atom_site_label
_atom_site_fract_x
_atom_site_fract_y
_atom_site_fract_z
Na1 0.0000 0.0000 0.0000
Na2 0.0000 0.5000 0.2500
Ga1 0.0000 0.5000 0.7500
Te1 0.1895 0.2557 0.6025
Ir1 0.0000 0.0000 0.5000
```

Largest 10 diffraction maxima, in order of falling intensity, 10° ≤ 2θ ≤ 90°:
26.5°, intensity 100, (1 1 2)
15.5°, intensity 77, (1 0 1)
33.5°, intensity 42, (2 2 0)
43.2°, intensity 37, (1 3 2)
44.4°, intensity 30, (2 3 1)
48.4°, intensity 30, (2 0 4)
28.3°, intensity 23, (1 2 1)
41.1°, intensity 18, (1 2 3)
50.9°, intensity 15, (4 1 1)
48.1°, intensity 11, (4 0 0)


Diffraction record for Nb2GaSbIr2. The X-ray diffraction stick pattern is theoretical, not measured: it uses a cell relaxed with GGA-PBE and a wavelength of 1.5418 Å.
Peak positions follow from Bragg's law for the DFT cell and can differ from measured ones.

Cell and atoms:
```
data_Nb2GaSbIr2
_space_group_name_H-M_alt 'I -4 2 d'
_space_group_IT_number 122
_space_group_name_Hall 'I -4 2bw'
_cell_length_a 6.1443
_cell_length_b 6.1443
_cell_length_c 12.2712
_cell_angle_alpha 90.00
_cell_angle_beta 90.00
_cell_angle_gamma 90.00
loop_
_atom_site_label
_atom_site_fract_x
_atom_site_fract_y
_atom_site_fract_z
Nb1 0.0000 0.0000 0.2446
Ga1 0.0000 0.0000 0.0000
Sb1 0.0000 0.0000 0.5000
Ir1 0.2460 0.2500 0.1250
```

Largest 10 diffraction maxima, in order of falling intensity, 10° ≤ 2θ ≤ 90°:
41.6°, intensity 100, (2 2 0)
25.1°, intensity 62, (1 1 2)
75.9°, intensity 33, (4 2 4)
49.2°, intensity 31, (1 1 6)
60.3°, intensity 17, (4 0 0)
66.3°, intensity 13, (3 1 6)
81.4°, intensity 7, (3 3 6)
81.5°, intensity 2, (1 1 10)
26.2°, intensity 1, (1 0 3)
16.1°, intensity 1, (1 0 1)


Diffraction record for PrNdGa4Ir2. The X-ray diffraction stick pattern is theoretical, not measured: it uses a cell relaxed with GGA-PBE and a wavelength of 1.5418 Å.
Peak positions follow from Bragg's law for the DFT cell and can differ from measured ones.

Cell and atoms:
```
data_PrNdGa4Ir2
_space_group_name_H-M_alt 'P 1 m 1'
_space_group_IT_number 6
_cell_length_a 4.2414
_cell_length_b 7.1033
_cell_length_c 5.7030
_cell_angle_alpha 90.00
_cell_angle_beta 111.25
_cell_angle_gamma 90.00
loop_
_space_group_symop_operation_xyz
'x,y,z'
'x,-y,z'
loop_
_atom_site_label
_atom_site_fract_x
_atom_site_fract_y
_atom_site_fract_z
Pr1 0.0000 0.0000 0.0000
Nd1 0.8630 0.5000 0.7255
Ga1 0.2827 0.1960 0.5607
Ga2 0.5808 0.3054 0.1656
Ir1 0.1410 0.5000 0.2879
Ir2 0.7222 0.0000 0.4381
```

Largest 10 diffraction maxima, in order of falling intensity, 10° ≤ 2θ ≤ 90°:
36.1°, intensity 100, (0 1 2)
35.2°, intensity 88, (1 1 1)
35.5°, intensity 87, (1 1 -2)
42.6°, intensity 68, (2 0 -1)
33.9°, intensity 67, (1 2 0)
34.0°, intensity 62, (1 2 -1)
25.1°, intensity 57, (0 2 0)
16.7°, intensity 47, (0 0 1)
41.7°, intensity 37, (1 2 1)
56.8°, intensity 34, (2 1 1)


Diffraction record for NdYGa4Ir2. The X-ray diffraction stick pattern is theoretical, not measured: it uses a cell relaxed with GGA-PBE and a wavelength of 1.5418 Å.
Peak positions follow from Bragg's law for the DFT cell and can differ from measured ones.

Cell and atoms:
```
data_NdYGa4Ir2
_space_group_name_H-M_alt 'P 1 m 1'
_space_group_IT_number 6
_cell_length_a 4.2258
_cell_length_b 7.0953
_cell_length_c 5.5995
_cell_angle_alpha 90.00
_cell_angle_beta 111.77
_cell_angle_gamma 90.00
loop_
_space_group_symop_operation_xyz
'x,y,z'
'x,-y,z'
loop_
_atom_site_label
_atom_site_fract_x
_atom_site_fract_y
_atom_site_fract_z
Nd1 0.0000 0.0000 0.0000
Y1 0.1415 0.5000 0.2827
Ga1 0.4234 0.3065 0.8439
Ga2 0.7168 0.1980 0.4362
Ir1 0.2811 0.0000 0.5662
Ir2 0.8606 0.5000 0.7168
```

Largest 10 diffraction maxima, in order of falling intensity, 10° ≤ 2θ ≤ 90°:
34.1°, intensity 100, (1 2 0)
36.8°, intensity 74, (0 1 2)
35.9°, intensity 69, (1 1 -2)
35.7°, intensity 69, (1 1 1)
42.8°, intensity 57, (2 0 -1)
44.8°, intensity 54, (1 3 -1)
17.1°, intensity 52, (0 0 1)
25.1°, intensity 42, (0 2 0)
26.0°, intensity 38, (1 1 -1)
51.5°, intensity 33, (0 4 0)


Diffraction record for SrGaSnIrPd. The X-ray diffraction stick pattern is theoretical, not measured: it uses a cell relaxed with GGA-PBE and a wavelength of 1.5418 Å.
Peak positions follow from Bragg's law for the DFT cell and can differ from measured ones.

Cell and atoms:
```
data_SrGaSnIrPd
_space_group_name_H-M_alt 'P 4/n m m'
_space_group_IT_number 129
_cell_length_a 4.4502
_cell_length_b 4.4502
_cell_length_c 10.8733
_cell_angle_alpha 90.00
_cell_angle_beta 90.00
_cell_angle_gamma 90.00
loop_
_space_group_symop_operation_xyz
'x,y,z'
'-x,-y,-z'
'-y+1/2,x,z'
'y+1/2,-x,-z'
'-x+1/2,-y+1/2,z'
'x+1/2,y+1/2,-z'
'y,-x+1/2,z'
'-y,x+1/2,-z'
'x+1/2,-y,-z'
'-x+1/2,y,z'
'-y,-x,-z'
'y,x,z'
'-x,y+1/2,-z'
'x,-y+1/2,z'
'y+1/2,x+1/2,-z'
'-y+1/2,-x+1/2,z'
loop_
_atom_site_label
_atom_site_fract_x
_atom_site_fract_y
_atom_site_fract_z
Sr1 0.2500 0.2500 0.2499
Ga1 0.2500 0.7500 0.0000
Sn1 0.2500 0.2500 0.6327
Ir1 0.2500 0.7500 0.5000
Pd1 0.2500 0.2500 0.8811
```

Largest 10 diffraction maxima, in order of falling intensity, 10° ≤ 2θ ≤ 90°:
32.9°, intensity 100, (1 1 2)
40.5°, intensity 74, (2 0 0)
44.0°, intensity 66, (1 1 4)
31.8°, intensity 51, (1 0 3)
16.3°, intensity 30, (0 0 2)
58.7°, intensity 25, (2 2 0)
52.5°, intensity 25, (2 1 3)
68.9°, intensity 24, (3 1 2)
76.2°, intensity 22, (3 1 4)
46.5°, intensity 22, (1 0 5)


Diffraction record for SrGaSnIrPd. The X-ray diffraction stick pattern is theoretical, not measured: it uses a cell relaxed with GGA-PBE and a wavelength of 1.5418 Å.
Peak positions follow from Bragg's law for the DFT cell and can differ from measured ones.

Cell and atoms:
```
data_SrGaSnIrPd
_space_group_name_H-M_alt 'P 4/n m m'
_space_group_IT_number 129
_cell_length_a 4.5869
_cell_length_b 4.5869
_cell_length_c 10.3447
_cell_angle_alpha 90.00
_cell_angle_beta 90.00
_cell_angle_gamma 90.00
loop_
_space_group_symop_operation_xyz
'x,y,z'
'-x,-y,-z'
'-y+1/2,x,z'
'y+1/2,-x,-z'
'-x+1/2,-y+1/2,z'
'x+1/2,y+1/2,-z'
'y,-x+1/2,z'
'-y,x+1/2,-z'
'x+1/2,-y,-z'
'-x+1/2,y,z'
'-y,-x,-z'
'y,x,z'
'-x,y+1/2,-z'
'x,-y+1/2,z'
'y+1/2,x+1/2,-z'
'-y+1/2,-x+1/2,z'
loop_
_atom_site_label
_atom_site_fract_x
_atom_site_fract_y
_atom_site_fract_z
Sr1 0.2500 0.2500 0.2411
Ga1 0.2500 0.7500 0.0000
Sn1 0.2500 0.2500 0.6361
Ir1 0.2500 0.2500 0.8922
Pd1 0.2500 0.7500 0.5000
```

Largest 10 diffraction maxima, in order of falling intensity, 10° ≤ 2θ ≤ 90°:
32.5°, intensity 100, (1 0 3)
39.3°, intensity 97, (2 0 0)
44.8°, intensity 59, (1 1 4)
32.6°, intensity 58, (1 1 2)
51.9°, intensity 54, (2 1 3)
21.2°, intensity 40, (1 0 1)
27.5°, intensity 34, (1 1 0)
56.8°, intensity 33, (2 2 0)
67.0°, intensity 27, (3 0 3)
75.1°, intensity 26, (3 1 4)


Diffraction record for SrGaSnIrPd. The X-ray diffraction stick pattern is theoretical, not measured: it uses a cell relaxed with GGA-PBE and a wavelength of 1.5418 Å.
Peak positions follow from Bragg's law for the DFT cell and can differ from measured ones.

Cell and atoms:
```
data_SrGaSnIrPd
_space_group_name_H-M_alt 'P 4/n m m'
_space_group_IT_number 129
_cell_length_a 4.4820
_cell_length_b 4.4820
_cell_length_c 10.7022
_cell_angle_alpha 90.00
_cell_angle_beta 90.00
_cell_angle_gamma 90.00
loop_
_space_group_symop_operation_xyz
'x,y,z'
'-x,-y,-z'
'-y+1/2,x,z'
'y+1/2,-x,-z'
'-x+1/2,-y+1/2,z'
'x+1/2,y+1/2,-z'
'y,-x+1/2,z'
'-y,x+1/2,-z'
'x+1/2,-y,-z'
'-x+1/2,y,z'
'-y,-x,-z'
'y,x,z'
'-x,y+1/2,-z'
'x,-y+1/2,z'
'y+1/2,x+1/2,-z'
'-y+1/2,-x+1/2,z'
loop_
_atom_site_label
_atom_site_fract_x
_atom_site_fract_y
_atom_site_fract_z
Sr1 0.2500 0.2500 0.2265
Ga1 0.2500 0.2500 0.8903
Sn1 0.2500 0.7500 0.5000
Ir1 0.2500 0.7500 0.0000
Pd1 0.2500 0.2500 0.6481
```

Largest 10 diffraction maxima, in order of falling intensity, 10° ≤ 2θ ≤ 90°:
32.8°, intensity 100, (1 1 2)
40.2°, intensity 57, (2 0 0)
44.3°, intensity 41, (1 1 4)
16.6°, intensity 33, (0 0 2)
68.5°, intensity 25, (3 1 2)
32.1°, intensity 21, (1 0 3)
58.2°, intensity 19, (2 2 0)
76.0°, intensity 17, (3 1 4)
43.8°, intensity 12, (2 0 2)
59.5°, intensity 12, (1 1 6)


Diffraction record for Y2Ga4IrPd. The X-ray diffraction stick pattern is theoretical, not measured: it uses a cell relaxed with GGA-PBE and a wavelength of 1.5418 Å.
Peak positions follow from Bragg's law for the DFT cell and can differ from measured ones.

Cell and atoms:
```
data_Y2Ga4IrPd
_space_group_name_H-M_alt 'A m m 2'
_space_group_IT_number 38
_cell_length_a 6.7350
_cell_length_b 4.3424
_cell_length_c 10.2408
_cell_angle_alpha 90.00
_cell_angle_beta 90.00
_cell_angle_gamma 90.00
loop_
_space_group_symop_operation_xyz
'x,y,z'
'-x,-y,z'
'-x,y,z'
'x,-y,z'
'x,y+1/2,z+1/2'
'-x,-y+1/2,z+1/2'
'-x,y+1/2,z+1/2'
'x,-y+1/2,z+1/2'
loop_
_atom_site_label
_atom_site_fract_x
_atom_site_fract_y
_atom_site_fract_z
Y1 0.0000 0.0000 0.0000
Y2 0.5000 0.0000 0.1584
Ga1 0.1971 0.0000 0.7136
Ga2 0.3035 0.0000 0.4438
Ir1 0.0000 0.0000 0.2860
Pd1 0.5000 0.0000 0.8729
```

Largest 10 diffraction maxima, in order of falling intensity, 10° ≤ 2θ ≤ 90°:
36.0°, intensity 100, (1 1 3)
34.8°, intensity 90, (2 1 1)
41.6°, intensity 51, (0 2 0)
43.1°, intensity 49, (2 1 3)
37.6°, intensity 47, (1 0 4)
46.4°, intensity 37, (3 1 1)
17.3°, intensity 30, (0 0 2)
57.3°, intensity 27, (1 2 4)
67.6°, intensity 21, (0 1 7)
25.9°, intensity 20, (1 1 1)


Diffraction record for Sc6Ga7Ir5. The X-ray diffraction stick pattern is theoretical, not measured: it uses a cell relaxed with GGA-PBE and a wavelength of 1.5418 Å.
Peak positions follow from Bragg's law for the DFT cell and can differ from measured ones.

Cell and atoms:
```
data_Sc6Ga7Ir5
_space_group_name_H-M_alt 'P 63/m c m'
_space_group_IT_number 193
_space_group_name_Hall '-P 6c 2'
_cell_length_a 9.1823
_cell_length_b 9.1823
_cell_length_c 8.2593
_cell_angle_alpha 90.00
_cell_angle_beta 90.00
_cell_angle_gamma 120.00
loop_
_atom_site_label
_atom_site_fract_x
_atom_site_fract_y
_atom_site_fract_z
Sc1 0.0000 0.3253 0.0554
Ga1 0.0000 0.0000 0.0000
Ga2 0.1646 0.4946 0.7500
Ir1 0.0000 0.1739 0.7500
Ir2 0.3333 0.6667 0.0000
```

Largest 10 diffraction maxima, in order of falling intensity, 10° ≤ 2θ ≤ 90°:
40.4°, intensity 100, (3 0 2)
40.8°, intensity 90, (2 2 1)
19.3°, intensity 64, (1 1 0)
45.2°, intensity 55, (2 2 2)
24.3°, intensity 41, (1 0 2)
38.1°, intensity 32, (1 1 3)
43.8°, intensity 31, (0 0 4)
71.1°, intensity 27, (6 0 0)
22.2°, intensity 26, (1 1 1)
87.4°, intensity 25, (6 0 4)


Diffraction record for YScGa2Ir4. The X-ray diffraction stick pattern is theoretical, not measured: it uses a cell relaxed with GGA-PBE and a wavelength of 1.5418 Å.
Peak positions follow from Bragg's law for the DFT cell and can differ from measured ones.

Cell and atoms:
```
data_YScGa2Ir4
_space_group_name_H-M_alt 'P -6 m 2'
_space_group_IT_number 187
_space_group_name_Hall 'P -6 2'
_cell_length_a 4.2979
_cell_length_b 4.2979
_cell_length_c 8.8714
_cell_angle_alpha 90.00
_cell_angle_beta 90.00
_cell_angle_gamma 120.00
loop_
_atom_site_label
_atom_site_fract_x
_atom_site_fract_y
_atom_site_fract_z
Y1 0.0000 0.0000 0.0000
Sc1 0.6667 0.3333 0.5000
Ga1 0.3333 0.6667 0.2611
Ir1 0.0000 0.0000 0.3506
Ir2 0.6667 0.3333 0.1818
```

Largest 10 diffraction maxima, in order of falling intensity, 10° ≤ 2θ ≤ 90°:
38.9°, intensity 100, (1 0 3)
42.0°, intensity 79, (1 1 0)
58.6°, intensity 30, (2 0 3)
74.7°, intensity 30, (2 1 3)
23.9°, intensity 29, (1 0 0)
26.0°, intensity 23, (1 0 1)
20.0°, intensity 22, (0 0 2)
47.0°, intensity 15, (1 1 2)
76.8°, intensity 13, (3 0 0)
47.7°, intensity 10, (1 0 4)


Diffraction record for Sr2GaSn3Ir2. The X-ray diffraction stick pattern is theoretical, not measured: it uses a cell relaxed with GGA-PBE and a wavelength of 1.5418 Å.
Peak positions follow from Bragg's law for the DFT cell and can differ from measured ones.

Cell and atoms:
```
data_Sr2GaSn3Ir2
_space_group_name_H-M_alt 'C 1 m 1'
_space_group_IT_number 8
_cell_length_a 11.5425
_cell_length_b 4.3759
_cell_length_c 7.5763
_cell_angle_alpha 90.00
_cell_angle_beta 90.01
_cell_angle_gamma 90.00
loop_
_space_group_symop_operation_xyz
'x,y,z'
'x,-y,z'
'x+1/2,y+1/2,z'
'x+1/2,-y+1/2,z'
loop_
_atom_site_label
_atom_site_fract_x
_atom_site_fract_y
_atom_site_fract_z
Sr1 0.0000 0.0000 0.0000
Sr2 0.1255 0.0000 0.4810
Ga1 0.2292 0.5000 0.1926
Sn1 0.2098 0.5000 0.8028
Sn2 0.4061 0.0000 0.6997
Sn3 0.4090 0.0000 0.2977
Ir1 0.2718 0.0000 0.0054
Ir2 0.3422 0.5000 0.4960
```

Largest 10 diffraction maxima, in order of falling intensity, 10° ≤ 2θ ≤ 90°:
33.2°, intensity 100, (4 0 -1)
39.2°, intensity 60, (4 0 2)
15.4°, intensity 55, (2 0 0)
32.2°, intensity 53, (1 1 -2)
42.0°, intensity 47, (1 1 3)
41.3°, intensity 34, (0 2 0)
70.1°, intensity 24, (4 0 -5)
54.0°, intensity 20, (4 2 -1)
24.7°, intensity 20, (1 1 1)
59.9°, intensity 19, (7 1 0)


Diffraction record for SrGa2Ir. The X-ray diffraction stick pattern is theoretical, not measured: it uses a cell relaxed with GGA-PBE and a wavelength of 1.5418 Å.
Peak positions follow from Bragg's law for the DFT cell and can differ from measured ones.

Cell and atoms:
```
data_SrGa2Ir
_space_group_name_H-M_alt 'F -4 3 m'
_space_group_IT_number 216
_space_group_name_Hall 'F -4 2 3'
_cell_length_a 6.8703
_cell_length_b 6.8703
_cell_length_c 6.8703
_cell_angle_alpha 90.00
_cell_angle_beta 90.00
_cell_angle_gamma 90.00
loop_
_atom_site_label
_atom_site_fract_x
_atom_site_fract_y
_atom_site_fract_z
Sr1 0.0000 0.0000 0.0000
Ga1 0.0000 0.0000 0.5000
Ga2 0.2500 0.2500 0.7500
Ir1 0.2500 0.2500 0.2500
```

Largest 10 diffraction maxima, in order of falling intensity, 10° ≤ 2θ ≤ 90°:
37.0°, intensity 100, (2 2 0)
66.7°, intensity 35, (4 2 2)
22.4°, intensity 18, (1 1 1)
53.3°, intensity 17, (4 0 0)
78.8°, intensity 11, (4 4 0)
43.7°, intensity 10, (3 1 1)
25.9°, intensity 7, (2 0 0)
58.6°, intensity 4, (3 3 1)
83.2°, intensity 3, (5 3 1)
71.3°, intensity 3, (5 1 1)


Diffraction record for SrGa3Ir. The X-ray diffraction stick pattern is theoretical, not measured: it uses a cell relaxed with GGA-PBE and a wavelength of 1.5418 Å.
Peak positions follow from Bragg's law for the DFT cell and can differ from measured ones.

Cell and atoms:
```
data_SrGa3Ir
_space_group_name_H-M_alt 'I 4 m m'
_space_group_IT_number 107
_space_group_name_Hall 'I 4 -2'
_cell_length_a 4.4189
_cell_length_b 4.4189
_cell_length_c 10.6905
_cell_angle_alpha 90.00
_cell_angle_beta 90.00
_cell_angle_gamma 90.00
loop_
_atom_site_label
_atom_site_fract_x
_atom_site_fract_y
_atom_site_fract_z
Sr1 0.0000 0.0000 0.0000
Ga1 0.0000 0.0000 0.5995
Ga2 0.0000 0.5000 0.2558
Ir1 0.0000 0.0000 0.3687
```

Largest 10 diffraction maxima, in order of falling intensity, 10° ≤ 2θ ≤ 90°:
32.3°, intensity 100, (1 0 3)
33.2°, intensity 95, (1 1 2)
40.8°, intensity 94, (2 0 0)
21.8°, intensity 72, (1 0 1)
44.6°, intensity 56, (1 1 4)
53.0°, intensity 49, (2 1 3)
47.2°, intensity 48, (1 0 5)
28.6°, intensity 41, (1 1 0)
64.2°, intensity 38, (2 1 5)
16.6°, intensity 34, (0 0 2)


Diffraction record for Ta2GaIr. The X-ray diffraction stick pattern is theoretical, not measured: it uses a cell relaxed with GGA-PBE and a wavelength of 1.5418 Å.
Peak positions follow from Bragg's law for the DFT cell and can differ from measured ones.

Cell and atoms:
```
data_Ta2GaIr
_space_group_name_H-M_alt 'F -4 3 m'
_space_group_IT_number 216
_space_group_name_Hall 'F -4 2 3'
_cell_length_a 6.4065
_cell_length_b 6.4065
_cell_length_c 6.4065
_cell_angle_alpha 90.00
_cell_angle_beta 90.00
_cell_angle_gamma 90.00
loop_
_atom_site_label
_atom_site_fract_x
_atom_site_fract_y
_atom_site_fract_z
Ta1 0.0000 0.0000 0.0000
Ta2 0.2500 0.2500 0.2500
Ga1 0.0000 0.0000 0.5000
Ir1 0.2500 0.2500 0.7500
```

Largest 10 diffraction maxima, in order of falling intensity, 10° ≤ 2θ ≤ 90°:
39.8°, intensity 100, (2 2 0)
72.2°, intensity 35, (4 2 2)
57.5°, intensity 17, (4 0 0)
85.8°, intensity 11, (4 4 0)
24.1°, intensity 7, (1 1 1)
27.9°, intensity 4, (2 0 0)
47.0°, intensity 4, (3 1 1)
65.1°, intensity 2, (4 2 0)
63.3°, intensity 2, (3 3 1)
49.3°, intensity 1, (2 2 2)